The following is a simulated powder X-ray diffraction pattern of Cd4BC2. It was derived from a cell relaxed with GGA-PBE, using Cu Kα (λ = 1.5418 Å).
Lines closer than 0.1° are merged.

Atomic structure:
a b c (Å): 5.299 5.299 9.749
angles (deg): 90.00 90.00 90.00
Atoms (fractional coordinates):
Cd  0.000  0.000  0.218
Cd  0.000  0.000  0.782
Cd  0.000  0.500  0.000
Cd  0.000  0.500  0.500
Cd  0.500  0.000  0.000
Cd  0.500  0.000  0.500
Cd  0.500  0.500  0.282
Cd  0.500  0.500  0.718
B  0.000  0.000  0.000
B  0.500  0.500  0.500
C  0.000  0.000  0.435
C  0.000  0.000  0.565
C  0.500  0.500  0.065
C  0.500  0.500  0.935

Main lines, most intense first (15 to 90 degrees two-theta):
2θ = 30.08°, d 2.971, rel. 100; 2θ = 33.83°, d 2.649, rel. 50; 2θ = 58.22°, d 1.585, rel. 30; 2θ = 50.91°, d 1.794, rel. 20; 2θ = 48.60°, d 1.873, rel. 17; 2θ = 36.88°, d 2.437, rel. 13; 2θ = 62.53°, d 1.485, rel. 10; 2θ = 32.32°, d 2.770, rel. 8; 2θ = 81.18°, d 1.185, rel. 7; 2θ = 62.28°, d 1.491, rel. 7